This entry pairs a crystal structure of Li4DyAsO6 with its computed PXRD pattern. Radiation: copper Kα. Structure: a DFT-relaxed cell (PBE, OQMD).

Most intense lines, 2θ from 15° to 90°, in order of rising 2θ:
- 18.4 deg, d 4.833, intensity 100, hkl 0 0 1
- 18.9 deg, d 4.695, intensity 26, hkl 0 2 0
- 20.1 deg, d 4.413, intensity 50, hkl 1 1 0
- 23.2 deg, d 3.834, intensity 36, hkl 1 1 -1
- 26.5 deg, d 3.367, intensity 24, hkl 0 2 1
- 31.0 deg, d 2.883, intensity 18, hkl 1 1 1
- 33.8 deg, d 2.653, intensity 37, hkl 1 3 0
- 34.8 deg, d 2.577, intensity 19, hkl 2 0 -1
- 35.8 deg, d 2.510, intensity 18, hkl 1 3 -1
- 41.5 deg, d 2.177, intensity 49, hkl 1 3 1
- 43.1 deg, d 2.100, intensity 23, hkl 2 0 -2
- 46.4 deg, d 1.957, intensity 14, hkl 1 3 -2

Structure:
a = 5.268 Å, b = 9.389 Å, c = 5.093 Å
α = 90.00°, β = 108.39°, γ = 90.00°
Space group C2 (No. 5)
One atom of each set of equivalent atoms:
Li  0.000  0.000  0.000 x2
Li  0.000  0.141  0.500 x2
Li  0.000  0.336  0.000 x2
Li  0.000  0.609  0.000 x2
Dy  0.000  0.806  0.500 x2
As  0.000  0.477  0.500 x2
O  0.208  0.335  0.732 x4
O  0.218  0.618  0.731 x4
O  0.224  0.480  0.277 x4